[1]
This entry pairs a crystal structure of Ga5Cu4 with its computed powder X-ray diffraction pattern. Radiation: λ = 1.5418 Å (Cu Kα). Structure: the PBE geometry in Alexandria.
No peak broadening, texture or thermal motion is included.

Structure:
```
data_Ga5Cu4
_space_group_name_H-M_alt 'I 4/m'
_space_group_IT_number 87
_space_group_name_Hall '-I 4'
_cell_length_a 10.4259
_cell_length_b 10.4259
_cell_length_c 2.7229
_cell_angle_alpha 90.00
_cell_angle_beta 90.00
_cell_angle_gamma 90.00
loop_
_atom_site_label
_atom_site_fract_x
_atom_site_fract_y
_atom_site_fract_z
Ga1 0.0000 0.0000 0.0000
Ga2 0.0473 0.2687 0.5000
Cu1 0.1483 0.7751 0.0000
```

Main lines, by angle (5 to 70 degrees two-theta):
(2 0 0), 2θ 17.01, d = 5.213 Å, I 45.4
(2 1 1), 2θ 38.28, d = 2.351 Å, I 90.5
(4 2 0), 2θ 38.62, d = 2.331 Å, I 46.4
(3 0 1), 2θ 42.16, d = 2.143 Å, I 43.0
(1 5 0), 2θ 44.30, d = 2.045 Å, I 57.9
(3 2 1), 2θ 45.77, d = 1.982 Å, I 100.0

[2]
This entry pairs a crystal structure of Ga6Cu5 with its computed powder X-ray diffraction pattern. Radiation: λ = 1.5418 Å (Cu Kα). Structure: the PBE geometry in Alexandria.
No peak broadening, texture or thermal motion is included.

Structure:
```
data_Ga6Cu5
_space_group_name_H-M_alt 'C 1 2/m 1'
_space_group_IT_number 12
_space_group_name_Hall '-C 2y'
_cell_length_a 7.7175
_cell_length_b 9.9266
_cell_length_c 4.5536
_cell_angle_alpha 90.00
_cell_angle_beta 110.61
_cell_angle_gamma 90.00
loop_
_atom_site_label
_atom_site_fract_x
_atom_site_fract_y
_atom_site_fract_z
Ga1 0.1961 0.0000 0.1653
Ga2 0.1989 0.1491 0.6667
Cu1 0.0000 0.2249 0.0000
Cu2 0.0000 0.3671 0.5000
Cu3 0.0000 0.5000 0.0000
```

Main lines, by angle (5 to 70 degrees two-theta):
(3 1 0), 2θ 38.47, d = 2.340 Å, I 63.8
(1 3 1), 2θ 39.10, d = 2.304 Å, I 100.0
(2 0 -2), 2θ 40.90, d = 2.207 Å, I 90.8
(0 4 1), 2θ 42.15, d = 2.144 Å, I 97.9
(3 3 -1), 2θ 45.37, d = 1.999 Å, I 92.3
(1 1 2), 2θ 49.53, d = 1.840 Å, I 37.5

[3]
This entry pairs a crystal structure of GaCu with its computed powder X-ray diffraction pattern. Radiation: λ = 1.5418 Å (Cu Kα). Structure: the PBE geometry in Alexandria.
No peak broadening, texture or thermal motion is included.

Structure:
```
data_GaCu
_space_group_name_H-M_alt 'P m m n'
_space_group_IT_number 59
_cell_length_a 2.8040
_cell_length_b 4.5730
_cell_length_c 4.4285
_cell_angle_alpha 90.00
_cell_angle_beta 90.00
_cell_angle_gamma 90.00
loop_
_space_group_symop_operation_xyz
'x,y,z'
'-x,-y,-z'
'-x+1/2,-y+1/2,z'
'x+1/2,y+1/2,-z'
'x+1/2,-y,-z'
'-x+1/2,y,z'
'-x,y+1/2,-z'
'x,-y+1/2,z'
loop_
_atom_site_label
_atom_site_fract_x
_atom_site_fract_y
_atom_site_fract_z
Ga1 0.2500 0.2500 0.1084
Cu1 0.2500 0.7500 0.3988
```

Main lines, by angle (5 to 70 degrees two-theta):
(1 0 1), 2θ 37.98, d = 2.369 Å, I 43.0
(0 2 0), 2θ 39.41, d = 2.286 Å, I 51.6
(1 1 1), 2θ 43.00, d = 2.104 Å, I 100.0
(0 1 2), 2θ 45.51, d = 1.993 Å, I 63.1
(1 2 1), 2θ 55.89, d = 1.645 Å, I 26.6
(2 0 0), 2θ 66.72, d = 1.402 Å, I 10.1

[4]
This entry pairs a crystal structure of GaCu5 with its computed powder X-ray diffraction pattern. Radiation: λ = 1.5418 Å (Cu Kα). Structure: the PBE geometry in Alexandria.
No peak broadening, texture or thermal motion is included.

Structure:
```
data_GaCu5
_space_group_name_H-M_alt 'C m m m'
_space_group_IT_number 65
_space_group_name_Hall '-C 2 2'
_cell_length_a 3.6667
_cell_length_b 11.0527
_cell_length_c 3.6787
_cell_angle_alpha 90.00
_cell_angle_beta 90.00
_cell_angle_gamma 90.00
loop_
_atom_site_label
_atom_site_fract_x
_atom_site_fract_y
_atom_site_fract_z
Ga1 0.0000 0.0000 0.0000
Cu1 0.0000 0.1695 0.5000
Cu2 0.0000 0.3329 0.0000
Cu3 0.0000 0.5000 0.5000
```

Main lines, by angle (5 to 70 degrees two-theta):
(1 3 1), 2θ 42.59, d = 2.123 Å, I 100.0
(0 0 2), 2θ 49.52, d = 1.841 Å, I 31.4
(2 0 0), 2θ 49.73, d = 1.833 Å, I 15.5

[5]
This entry pairs a crystal structure of GaCuGe with its computed powder X-ray diffraction pattern. Radiation: λ = 1.5418 Å (Cu Kα). Structure: the PBE geometry in Alexandria.
No peak broadening, texture or thermal motion is included.

Structure:
```
data_GaCuGe
_space_group_name_H-M_alt 'P 1'
_space_group_IT_number 1
_space_group_name_Hall 'P 1'
_cell_length_a 2.8266
_cell_length_b 5.8351
_cell_length_c 6.6612
_cell_angle_alpha 70.56
_cell_angle_beta 78.15
_cell_angle_gamma 89.94
loop_
_atom_site_label
_atom_site_fract_x
_atom_site_fract_y
_atom_site_fract_z
Ga1 0.0000 0.0000 0.0000
Ga2 0.2185 0.2133 0.5780
Cu1 0.4180 0.2493 0.1692
Cu2 0.8495 0.5447 0.3036
Ge1 0.0514 0.5919 0.8966
Ge2 0.2712 0.8011 0.4624
```

Main lines, by angle (5 to 70 degrees two-theta):
(0 2 1), 2θ 30.85, d = 2.899 Å, I 49.4
(1 0 1), 2θ 32.58, d = 2.749 Å, I 54.7
(1 -1 0), 2θ 35.33, d = 2.541 Å, I 43.3
(0 1 -2), 2θ 38.19, d = 2.357 Å, I 98.6
(1 -2 0), 2θ 44.81, d = 2.023 Å, I 100.0
(0 2 3), 2θ 45.43, d = 1.996 Å, I 69.2

[6]
This entry pairs a crystal structure of GaCu14Ge with its computed powder X-ray diffraction pattern. Radiation: λ = 1.5418 Å (Cu Kα). Structure: the PBE geometry in Alexandria.
No peak broadening, texture or thermal motion is included.

Structure:
```
data_GaCu14Ge
_space_group_name_H-M_alt 'A m m 2'
_space_group_IT_number 38
_space_group_name_Hall 'A 2 -2'
_cell_length_a 8.3623
_cell_length_b 5.3110
_cell_length_c 8.9458
_cell_angle_alpha 90.00
_cell_angle_beta 90.00
_cell_angle_gamma 90.00
loop_
_atom_site_label
_atom_site_fract_x
_atom_site_fract_y
_atom_site_fract_z
Ga1 0.0000 0.0000 0.0000
Cu1 0.0000 0.2505 0.2497
Cu2 0.2536 0.0000 0.3311
Cu3 0.2542 0.0000 0.8315
Cu4 0.2548 0.2490 0.0833
Cu5 0.5000 0.0000 0.1614
Cu6 0.5000 0.0000 0.6609
Cu7 0.5000 0.2498 0.4109
Ge1 0.0000 0.0000 0.5004
```

Main lines, by angle (5 to 70 degrees two-theta):
(1 2 2), 2θ 40.97, d = 2.203 Å, I 42.5
(1 0 4), 2θ 41.81, d = 2.161 Å, I 22.6
(4 0 0), 2θ 43.28, d = 2.091 Å, I 49.0
(2 2 2), 2θ 45.25, d = 2.004 Å, I 100.0
(2 0 4), 2θ 46.02, d = 1.972 Å, I 41.8
(3 2 2), 2θ 51.75, d = 1.766 Å, I 21.0